1.
Starting from a cell relaxed with GGA-PBE, the powder XRD pattern of SrPmTh was calculated for a wavelength of 1.5418 Å.
Neutral-atom scattering factors, no anomalous dispersion.

Atomic structure:
```
data_SrPmTh
_chemical_formula_sum 'Sr6 Pm6 Th6'
_cell_length_a 3.6976
_cell_length_b 3.6976
_cell_length_c 58.4215
_cell_angle_alpha 90.00
_cell_angle_beta 90.00
_cell_angle_gamma 120.00
_symmetry_space_group_name_H-M 'R -3 m'
_symmetry_Int_Tables_number 166
_symmetry_space_group_name_Hall '-R 3 2"'
loop_
_atom_site_label
_atom_site_type_symbol
_atom_site_fract_x
_atom_site_fract_y
_atom_site_fract_z
Sr1 Sr 0.0000 0.0000 0.1968
Pm1 Pm 0.0000 0.0000 0.2589
Th1 Th 0.0000 0.0000 0.3584
```

The 12 most intense peaks (15 to 90 degrees two-theta), low angle first:
| d_spacing | Rel. int. | index |
| --- | --- | --- |
| 3.246 | 646 | 0 0 18 |
| 3.183 | 893 | 0 1 2 |
| 2.990 | 583 | 1 0 7 |
| 2.933 | 433 | 0 1 8 |
| 2.808 | 494 | 1 0 10 |
| 2.742 | 1000 | 0 1 11 |
| 2.608 | 687 | 1 0 13 |
| 2.158 | 291 | 0 1 20 |
| 1.849 | 586 | 1 1 0 |
| 1.624 | 300 | 1 0 31 |
| 1.606 | 507 | 1 1 18 |
| 1.540 | 277 | 1 1 21 |

=====

2.
Starting from a cell relaxed with GGA-PBE, the powder XRD pattern of YPaGaO6 was calculated for a wavelength of 1.5418 Å.
Neutral-atom scattering factors, no anomalous dispersion.

Atomic structure:
```
data_YPaGaO6
_chemical_formula_sum 'Y2 Pa2 Ga2 O12'
_cell_length_a 4.9863
_cell_length_b 4.9863
_cell_length_c 10.0464
_cell_angle_alpha 90.00
_cell_angle_beta 90.00
_cell_angle_gamma 90.00
_symmetry_space_group_name_H-M 'P 42 n m'
_symmetry_Int_Tables_number 102
loop_
_symmetry_equiv_pos_as_xyz
'x,y,z'
'-y+1/2,x+1/2,z+1/2'
'-x,-y,z'
'y+1/2,-x+1/2,z+1/2'
'-x+1/2,y+1/2,z+1/2'
'y,x,z'
'x+1/2,-y+1/2,z+1/2'
'-y,-x,z'
loop_
_atom_site_label
_atom_site_type_symbol
_atom_site_fract_x
_atom_site_fract_y
_atom_site_fract_z
Y1 Y 0.0000 0.0000 0.0000
Pa1 Pa 0.0000 0.0000 0.6642
Ga1 Ga 0.0000 0.0000 0.3320
O1 O 0.1825 0.1825 0.4876
O2 O 0.1929 0.1929 0.1806
O3 O 0.2098 0.2098 0.8229
```

The 12 most intense peaks (15 to 90 degrees two-theta), low angle first:
| d_spacing | Rel. int. | index |
| --- | --- | --- |
| 4.466 | 416 | 1 0 1 |
| 3.526 | 1000 | 1 1 0 |
| 2.886 | 154 | 1 1 2 |
| 2.780 | 841 | 1 0 3 |
| 2.493 | 242 | 2 0 0 |
| 2.177 | 142 | 2 1 1 |
| 1.856 | 694 | 2 1 3 |
| 1.763 | 169 | 2 2 0 |
| 1.577 | 163 | 3 1 0 |
| 1.513 | 167 | 1 1 6 |
| 1.489 | 205 | 3 0 3 |
| 1.278 | 144 | 3 2 3 |